LaY6: theoretical powder XRD pattern (λ = 1.5418 Å (Cu Kα)), based on the PBE geometry in Alexandria.

Largest 10 diffraction maxima, in order of rising 2θ, 5° ≤ 2θ ≤ 70°:
two_theta, I/Imax, index
22.0, 42, 2 0 0
27.0, 100, 2 1 1
38.6, 21, 2 2 2
41.8, 61, 3 2 1
44.9, 28, 4 0 0
50.5, 17, 4 2 0
53.2, 15, 3 3 2
63.0, 18, 5 2 1
65.3, 18, 4 4 0
69.9, 8, 6 0 0

a = 8.0780 Å, b = 8.0780 Å, c = 8.0780 Å
α = 90.00°, β = 90.00°, γ = 90.00°
Space group Im-3m (No. 229)
Unique sites:
La 0.0000 0.0000 0.0000 x2
Y 0.0000 0.2500 0.5000 x12